Record 1
# Ce4Bi2B
Theoretical powder X-ray diffraction pattern, Cu Kα (weighted mean of Kα1 and Kα2). Input: a DFT-relaxed cell (PBE, Alexandria).

Most intense lines, 2θ = 5–70°, by angle:
| d (Å) | 2θ/deg | I (rel.) |
| --- | --- | --- |
| 3.529 | 25.2 | 26 |
| 3.251 | 27.4 | 52 |
| 2.781 | 32.2 | 31 |
| 2.695 | 33.2 | 100 |
| 2.495 | 36.0 | 56 |
| 1.858 | 49.0 | 34 |
| 1.765 | 51.8 | 20 |
| 1.509 | 61.4 | 18 |
| 1.490 | 62.3 | 16 |
| 1.476 | 63.0 | 32 |

Lattice parameters (Å, degrees): 9.0641 9.0641 9.0641 148.04 148.04 45.83
Positions (direct):
1 Ce 0.0000 0.5000 0.5000
2 Ce 0.1592 0.1592 0.0000
3 Ce 0.5000 0.0000 0.5000
4 Ce 0.8408 0.8408 0.0000
5 Bi 0.3590 0.3590 0.0000
6 Bi 0.6410 0.6410 0.0000
7 B 0.0000 0.0000 0.0000

Record 2
# Pr2DyY
Theoretical powder X-ray diffraction pattern, Cu Kα (weighted mean of Kα1 and Kα2). Input: a DFT-relaxed cell (PBE, Alexandria).

Most intense lines, 2θ = 5–70°, by angle:
| d (Å) | 2θ/deg | I (rel.) |
| --- | --- | --- |
| 3.203 | 27.9 | 23 |
| 3.178 | 28.1 | 12 |
| 2.923 | 30.6 | 37 |
| 2.809 | 31.9 | 100 |
| 2.792 | 32.1 | 49 |
| 2.159 | 41.8 | 16 |
| 1.839 | 49.6 | 19 |
| 1.665 | 55.2 | 21 |
| 1.557 | 59.4 | 22 |
| 1.545 | 59.9 | 16 |

Lattice parameters (Å, degrees): 7.3579 7.3579 5.8466 90.00 90.00 119.47
Positions (direct):
1 Pr 0.0836 0.4150 0.2500
2 Pr 0.4150 0.0836 0.7500
3 Pr 0.5850 0.9164 0.2500
4 Pr 0.9164 0.5850 0.7500
5 Dy 0.0824 0.9176 0.2500
6 Dy 0.9176 0.0824 0.7500
7 Y 0.4171 0.5829 0.7500
8 Y 0.5829 0.4171 0.2500

Record 3
# Cs5K2Au2
Theoretical powder X-ray diffraction pattern, Cu Kα (weighted mean of Kα1 and Kα2). Input: a DFT-relaxed cell (PBE, Alexandria).

Most intense lines, 2θ = 5–70°, by angle:
| d (Å) | 2θ/deg | I (rel.) |
| --- | --- | --- |
| 10.253 | 8.6 | 77 |
| 7.673 | 11.5 | 23 |
| 7.436 | 11.9 | 100 |
| 6.019 | 14.7 | 31 |
| 4.479 | 19.8 | 25 |
| 3.718 | 23.9 | 54 |
| 3.572 | 24.9 | 100 |
| 3.220 | 27.7 | 58 |
| 2.576 | 34.8 | 81 |
| 2.110 | 42.9 | 25 |

Lattice parameters (Å, degrees): 12.6656 11.3982 8.9487 75.93 60.80 43.26
Positions (direct):
1 Cs 0.0000 0.0000 0.0000
2 Cs 0.1245 0.1245 0.3755
3 Cs 0.3755 0.3755 0.1245
4 Cs 0.6245 0.6245 0.8755
5 Cs 0.8755 0.8755 0.6245
6 K 0.2479 0.2479 0.7521
7 K 0.7521 0.7521 0.2479
8 Au 0.2393 0.7607 0.2393
9 Au 0.7607 0.2393 0.7607

Record 4
# RbNaGa4
Theoretical powder X-ray diffraction pattern, Cu Kα (weighted mean of Kα1 and Kα2). Input: a DFT-relaxed cell (PBE, Alexandria).

Most intense lines, 2θ = 5–70°, by angle:
| d (Å) | 2θ/deg | I (rel.) |
| --- | --- | --- |
| 4.602 | 19.3 | 50 |
| 4.542 | 19.5 | 53 |
| 3.852 | 23.1 | 34 |
| 3.165 | 28.2 | 90 |
| 3.126 | 28.6 | 90 |
| 3.106 | 28.7 | 62 |
| 2.621 | 34.2 | 98 |
| 2.518 | 35.7 | 100 |
| 2.014 | 45.0 | 62 |
| 1.823 | 50.0 | 33 |

Lattice parameters (Å, degrees): 6.6734 6.6734 5.0364 111.30 111.30 53.23
Positions (direct):
1 Rb 0.0000 0.0000 0.0000
2 Na 0.2258 0.2258 0.7297
3 Ga 0.1403 0.5683 0.3564
4 Ga 0.5683 0.1403 0.3564
5 Ga 0.5677 0.5677 0.5690
6 Ga 0.6781 0.6781 0.1735